1.
# TlSb2Te4Au
Computed powder diffractogram, λ = 1.5418 Å (Cu Kα). Input: the PBE geometry in Alexandria.
Peak positions follow from Bragg's law for the DFT cell and can differ from measured ones.

Most intense lines, 2θ = 15–90°, low angle first:
- 2θ 29.70, I 100
- 2θ 29.98, I 92
- 2θ 42.16, I 14
- 2θ 42.33, I 34
- 2θ 43.08, I 35
- 2θ 43.64, I 16
- 2θ 53.05, I 15
- 2θ 57.07, I 13
- 2θ 57.37, I 12
- 2θ 61.29, I 9

Structure:
```
TlSb2Te4Au
1.0
6.9677 0.0000 0.0000
0.0000 8.2958 0.0000
0.0000 0.0000 8.5737
Tl Sb Te Au
2 4 8 2
Cartesian
0.0000 0.0000 0.0000
3.4838 4.1479 4.2869
1.4998 4.1479 0.0000
1.9841 0.0000 4.2869
4.9836 0.0000 4.2869
5.4679 4.1479 0.0000
1.0030 2.3016 2.4751
1.0030 5.9942 6.0986
2.4808 1.8463 6.7619
2.4808 6.4495 1.8118
4.4868 1.8463 1.8118
4.4868 6.4495 6.7619
5.9647 2.3016 6.0986
5.9647 5.9942 2.4751
0.0000 4.1479 4.2869
3.4838 0.0000 0.0000
```

***

2.
# LiUCd2S6
Computed powder diffractogram, λ = 1.5418 Å (Cu Kα). Input: the PBE geometry in Alexandria.
Peak positions follow from Bragg's law for the DFT cell and can differ from measured ones.

Most intense lines, 2θ = 15–90°, low angle first:
- 2θ 16.43, I 100
- 2θ 18.43, I 59
- 2θ 24.92, I 73
- 2θ 27.39, I 81
- 2θ 31.07, I 72
- 2θ 37.36, I 35
- 2θ 40.28, I 53
- 2θ 40.33, I 79
- 2θ 46.94, I 31
- 2θ 48.41, I 52

Structure:
```
LiUCd2S6
1.0
6.5115 0.0000 0.0000
3.2527 5.6425 0.0000
3.2500 1.8833 6.1560
Li U Cd S
1 1 2 6
Cartesian
0.0000 0.0000 0.0000
6.5069 3.7638 3.1798
3.2524 1.8817 0.5245
9.7610 5.6458 3.4854
5.6028 5.5833 4.7320
4.4576 3.9299 1.6456
5.3840 2.0725 4.7341
7.6763 5.4543 1.6439
8.5323 3.6385 4.7340
7.3871 1.9037 1.6464
```

***

3.
# Zn5NiAg
Computed powder diffractogram, λ = 1.5418 Å (Cu Kα). Input: the PBE geometry in Alexandria.
Peak positions follow from Bragg's law for the DFT cell and can differ from measured ones.

Most intense lines, 2θ = 15–90°, low angle first:
- 2θ 25.70, I 18
- 2θ 33.47, I 27
- 2θ 42.44, I 100
- 2θ 42.91, I 55
- 2θ 44.64, I 8
- 2θ 62.30, I 17
- 2θ 63.64, I 11
- 2θ 77.31, I 10
- 2θ 78.29, I 30
- 2θ 86.27, I 7

Structure:
```
Zn5NiAg
1.0
4.2155 0.0000 0.0000
0.0000 4.2155 0.0000
0.0000 0.0000 6.0900
Zn Ni Ag
5 1 1
Cartesian
0.0000 0.0000 0.0000
0.0000 2.1078 1.7547
0.0000 2.1078 4.3354
2.1078 0.0000 1.7547
2.1078 0.0000 4.3354
0.0000 0.0000 3.0450
2.1078 2.1078 0.0000
```

***

4.
# Cd2CuIr
Computed powder diffractogram, λ = 1.5418 Å (Cu Kα). Input: the PBE geometry in Alexandria.
Peak positions follow from Bragg's law for the DFT cell and can differ from measured ones.

Most intense lines, 2θ = 15–90°, low angle first:
- 2θ 19.30, I 31
- 2θ 35.20, I 14
- 2θ 37.75, I 100
- 2θ 39.19, I 90
- 2θ 42.95, I 35
- 2θ 43.10, I 34
- 2θ 47.98, I 25
- 2θ 66.33, I 18
- 2θ 66.45, I 18
- 2θ 74.32, I 14

Structure:
```
Cd2CuIr
1.0
5.7813 0.0000 0.0000
0.0000 7.5847 0.0000
-0.0101 0.0000 3.0636
Cd Cu Ir
4 2 2
Cartesian
1.4453 1.8962 0.0000
1.4453 5.6885 0.0000
4.3359 1.8962 0.0000
4.3359 5.6885 0.0000
-0.0050 0.0000 1.5318
2.8856 3.7923 1.5318
-0.0050 3.7923 1.5318
2.8856 0.0000 1.5318
```

***

5.
# LuCuSe2
Computed powder diffractogram, λ = 1.5418 Å (Cu Kα). Input: the PBE geometry in Alexandria.
Peak positions follow from Bragg's law for the DFT cell and can differ from measured ones.

Most intense lines, 2θ = 15–90°, low angle first:
- 2θ 29.06, I 100
- 2θ 38.10, I 64
- 2θ 44.82, I 49
- 2θ 50.08, I 25
- 2θ 54.31, I 17
- 2θ 60.24, I 17
- 2θ 63.39, I 10
- 2θ 72.97, I 14
- 2θ 78.13, I 16
- 2θ 86.53, I 11

Structure:
```
LuCuSe2
1.0
4.0447 0.0000 0.0000
-2.0224 3.5028 0.0000
0.0000 0.0000 6.3973
Lu Cu Se
1 1 2
Cartesian
0.0000 0.0000 0.0000
2.0224 1.1676 2.4722
0.0000 2.3352 1.7092
2.0224 1.1676 4.9148
```

***

6.
# Ti2HO
Computed powder diffractogram, λ = 1.5418 Å (Cu Kα). Input: the PBE geometry in Alexandria.
Peak positions follow from Bragg's law for the DFT cell and can differ from measured ones.

Most intense lines, 2θ = 15–90°, low angle first:
- 2θ 23.91, I 20
- 2θ 34.30, I 79
- 2θ 34.95, I 100
- 2θ 39.25, I 18
- 2θ 40.66, I 34
- 2θ 47.22, I 10
- 2θ 57.79, I 37
- 2θ 59.71, I 12
- 2θ 69.53, I 12
- 2θ 70.70, I 16

Structure:
```
Ti2HO
1.0
3.0973 0.0000 0.0000
0.0000 6.3614 0.0000
0.0000 0.0000 4.5903
Ti H O
4 2 2
Cartesian
0.0000 0.6363 0.0000
0.0000 4.1973 0.3230
1.5487 2.1640 2.6181
1.5487 5.7250 2.2951
0.0000 5.4108 3.4349
1.5487 0.9506 1.1397
0.0000 2.5146 3.7681
1.5487 3.8468 1.4730
```

***

7.
# KMgSnBi2
Computed powder diffractogram, λ = 1.5418 Å (Cu Kα). Input: the PBE geometry in Alexandria.
Peak positions follow from Bragg's law for the DFT cell and can differ from measured ones.

Most intense lines, 2θ = 15–90°, low angle first:
- 2θ 18.84, I 83
- 2θ 25.27, I 86
- 2θ 25.39, I 29
- 2θ 34.98, I 100
- 2θ 36.21, I 46
- 2θ 41.12, I 25
- 2θ 44.67, I 38
- 2θ 51.18, I 18
- 2θ 61.99, I 19
- 2θ 64.34, I 31

Structure:
```
KMgSnBi2
1.0
4.9617 0.0000 0.0000
0.0000 4.9617 0.0000
0.0000 0.0000 15.0185
K Mg Sn Bi
2 2 2 4
Cartesian
0.0000 0.0000 0.0000
2.4808 2.4808 7.5093
0.0000 2.4808 3.7546
2.4808 0.0000 11.2639
0.0000 2.4808 11.2639
2.4808 0.0000 3.7546
0.0000 0.0000 5.5652
0.0000 0.0000 9.4533
2.4808 2.4808 1.9440
2.4808 2.4808 13.0745
```

***

8.
# Th5N4
Computed powder diffractogram, λ = 1.5418 Å (Cu Kα). Input: the PBE geometry in Alexandria.
Peak positions follow from Bragg's law for the DFT cell and can differ from measured ones.

Most intense lines, 2θ = 15–90°, low angle first:
- 2θ 28.28, I 57
- 2θ 31.71, I 100
- 2θ 40.42, I 24
- 2θ 40.95, I 8
- 2θ 50.10, I 8
- 2θ 52.26, I 35
- 2θ 58.51, I 22
- 2θ 66.23, I 17
- 2θ 82.28, I 18
- 2θ 87.42, I 8

Structure:
```
Th5N4
1.0
-4.9905 4.9905 1.8209
4.9905 -4.9905 1.8209
4.9905 4.9905 -1.8209
Th N
5 4
Cartesian
0.0000 0.0000 0.0000
5.8186 2.2875 0.0000
2.2875 4.1623 0.0000
2.7030 0.8282 1.8209
-0.8282 2.7030 1.8209
7.8606 1.2073 0.0000
1.2073 2.1204 0.0000
3.7832 2.8701 1.8209
-2.8701 3.7832 1.8209
```

***

9.
# LiScFeTc2
Computed powder diffractogram, λ = 1.5418 Å (Cu Kα). Input: the PBE geometry in Alexandria.
Peak positions follow from Bragg's law for the DFT cell and can differ from measured ones.

Most intense lines, 2θ = 15–90°, low angle first:
- 2θ 20.59, I 13
- 2θ 30.64, I 8
- 2θ 37.21, I 100
- 2θ 41.89, I 19
- 2θ 43.89, I 33
- 2θ 62.28, I 22
- 2θ 63.81, I 10
- 2θ 73.43, I 12
- 2θ 76.24, I 22
- 2θ 79.29, I 11

Structure:
```
LiScFeTc2
1.0
4.1259 0.0000 0.0000
0.0000 4.1259 0.0000
0.0000 0.0000 4.3129
Li Sc Fe Tc
1 1 1 2
Cartesian
0.0000 0.0000 0.0000
0.0000 0.0000 2.1565
2.0629 2.0629 2.1565
0.0000 2.0629 0.0000
2.0629 0.0000 0.0000
```

***

10.
# ScBr2
Computed powder diffractogram, λ = 1.5418 Å (Cu Kα). Input: the PBE geometry in Alexandria.
Peak positions follow from Bragg's law for the DFT cell and can differ from measured ones.

Most intense lines, 2θ = 15–90°, low angle first:
- 2θ 28.30, I 67
- 2θ 32.79, I 100
- 2θ 40.44, I 9
- 2θ 47.05, I 67
- 2θ 55.81, I 30
- 2θ 58.53, I 22
- 2θ 68.73, I 9
- 2θ 75.92, I 12
- 2θ 78.26, I 25
- 2θ 87.47, I 18

Structure:
```
ScBr2
1.0
0.0000 5.4630 5.4630
5.4630 0.0000 5.4630
5.4630 5.4630 0.0000
Sc Br
4 8
Cartesian
4.2502 4.2502 4.2502
6.6758 6.6758 4.2502
6.6758 4.2502 6.6758
4.2502 6.6758 6.6758
6.9212 4.0048 4.0048
1.4179 1.4179 1.4179
4.0451 4.0451 1.4179
4.0451 1.4179 4.0451
1.4179 4.0451 4.0451
4.0048 6.9212 4.0048
4.0048 4.0048 6.9212
6.9212 6.9212 6.9212
```

***

11.
# PrHo5Rh6
Computed powder diffractogram, λ = 1.5418 Å (Cu Kα). Input: the PBE geometry in Alexandria.
Peak positions follow from Bragg's law for the DFT cell and can differ from measured ones.

Most intense lines, 2θ = 15–90°, low angle first:
- 2θ 36.85, I 100
- 2θ 37.17, I 24
- 2θ 37.29, I 24
- 2θ 52.53, I 9
- 2θ 53.67, I 17
- 2θ 66.13, I 18
- 2θ 66.80, I 17
- 2θ 66.96, I 17
- 2θ 78.41, I 11
- 2θ 89.03, I 8

Structure:
```
PrHo5Rh6
1.0
2.4114 -7.2566 0.0000
2.4114 7.2566 0.0000
0.0000 0.0000 6.9689
Pr Ho Rh
1 5 6
Cartesian
0.0000 0.0000 0.0000
0.0000 0.0000 3.4845
2.4114 2.4452 0.0000
2.4114 2.4249 3.4845
2.4114 -2.4249 3.4845
2.4114 -2.4452 0.0000
2.4114 4.7983 1.7681
2.4114 4.7983 5.2008
2.4114 0.0000 1.8076
2.4114 0.0000 5.1613
2.4114 -4.7983 1.7681
2.4114 -4.7983 5.2008
```